Diffraction record for Li3VSiO5. The PXRD pattern is computed, not measured: it uses a cell relaxed with GGA+U and Cu Kα (weighted mean of Kα1 and Kα2).

Largest 10 diffraction maxima, low angle first, 2θ = 15–90°:
hkl  Position (°2θ)  d (Å)  intensity
1 2 0  19.53  4.546  95
0 3 1  24.62  3.616  68
1 2 1  26.66  3.344  28
1 5 0  32.39  2.764  100
0 0 2  36.40  2.468  56
1 5 1  37.29  2.412  48
1 5 2  49.52  1.841  29
3 5 0  57.74  1.597  35
2 0 3  66.09  1.414  37
3 5 2  70.24  1.340  31

Cell lengths 5.534, 15.940, 4.936 Å; angles 90.00, 90.00, 90.00 degrees
Space group Pna2_1 (No. 33)
Symmetry-distinct sites (fractional):
Li  0.159  0.090  0.000 x4
Li  0.166  0.507  0.004 x4
Li  0.184  0.695  0.001 x4
V  0.164  0.303  0.002 x4
Si  0.169  0.904  0.003 x4
O  0.111  0.102  0.603 x4
O  0.171  0.702  0.593 x4
O  0.180  0.900  0.662 x4
O  0.183  0.485  0.606 x4
O  0.184  0.315  0.601 x4